Sc2VNi9: computed PXRD pattern (a wavelength of 1.5418 Å), based on a cell relaxed with PBE.
Neutral-atom scattering factors, no anomalous dispersion.

Top 8 peaks for 2θ = 5–70°, most intense first:
2theta, I/Imax, (hkl)
42.85, 100, 1 1 3
49.89, 46, 2 0 0
8.06, 3, 0 0 1
24.35, 2, 1 0 0
34.70, 2, 1 1 0
48.40, 1, 1 1 4
41.16, 1, 0 0 5
66.60, 1, 2 0 5

Cell and atoms:
```
Sc2VNi9
1.0
3.656 0.000 0.000
0.000 3.656 0.000
0.000 0.000 10.966
Sc V Ni
2 1 9
direct
0.000 0.000 0.168
0.000 0.000 0.832
0.000 0.000 0.500
0.000 0.500 0.000
0.000 0.500 0.347
0.000 0.500 0.653
0.500 0.000 0.000
0.500 0.000 0.347
0.500 0.000 0.653
0.500 0.500 0.174
0.500 0.500 0.500
0.500 0.500 0.826
```